Structure and simulated X-ray diffraction stick pattern of CuHgMoF6 (a structure optimized by DFT (PBE+U); Cu Kα, 1.54184 Å).
Kinematic intensities with the Lorentz-polarization factor, no thermal factor.

Peak list (12 most intense, 10° ≤ 2θ ≤ 80°, low angle first)
h k l	2θ/deg	Rel. int.
0 0 2	18.8	34
1 0 2	25.8	100
1 1 0	30.6	74
1 0 3	33.6	16
1 1 2	36.2	47
2 0 1	36.8	20
2 0 2	40.5	29
1 1 4	49.7	56
2 1 2	51.6	30
3 0 0	54.4	14
2 2 0	63.7	17
3 0 4	68.4	21

Structural model:
```
data_CuHgMoF6
_chemical_formula_sum 'Cu2 Hg2 Mo2 F12'
_space_group_name_H-M_alt 'P 63/m m c'
_space_group_IT_number 194
_space_group_name_Hall '-P 6c 2c'
_cell_length_a 5.8434
_cell_length_b 5.8434
_cell_length_c 9.4200
_cell_angle_alpha 90.00
_cell_angle_beta 90.00
_cell_angle_gamma 120.00
loop_
_atom_site_label
_atom_site_type_symbol
_atom_site_fract_x
_atom_site_fract_y
_atom_site_fract_z
Cu1 Cu 0.0000 0.0000 0.0000
Hg1 Hg 0.3333 0.6667 0.2500
Mo1 Mo 0.3333 0.6667 0.7500
F1 F 0.1807 0.3614 0.6174
```